This entry pairs a crystal structure of BaAl2H10C2O13 with its theoretical X-ray diffraction stick pattern. Radiation: a wavelength of 1.5418 Å. Structure: a structure optimized by DFT (PBE).
Peak positions follow from Bragg's law for the DFT cell and can differ from measured ones.

The 10 most intense peaks (10 to 90 degrees two-theta), most intense first:
2θ (°)	intensity	h k l
15.2	100	0 2 -1
13.7	47	0 1 1
24.3	43	1 0 2
18.2	39	1 -1 1
21.3	38	0 2 1
26.5	37	0 3 -3
27.3	35	1 0 -3
23.5	34	1 -2 2
27.6	32	1 -3 0
17.3	29	1 0 -1

Structure:
```
BaAl2H10C2O13
1.0
5.515 0.000 0.000
-1.528 11.709 0.000
-0.753 -5.117 11.170
Ba Al H C O
2 4 20 4 26
direct
0.210 0.353 0.204
0.790 0.647 0.796
0.000 0.500 0.000
0.000 0.500 0.500
0.500 0.500 0.000
0.500 0.500 0.500
0.110 0.839 0.309
0.159 0.775 0.391
0.208 0.450 0.890
0.214 0.896 0.742
0.232 0.046 0.588
0.239 0.394 0.609
0.302 0.730 0.151
0.397 0.174 0.651
0.400 0.021 0.413
0.450 0.090 0.439
0.550 0.910 0.561
0.600 0.979 0.587
0.603 0.826 0.349
0.698 0.270 0.849
0.761 0.606 0.391
0.768 0.954 0.412
0.786 0.104 0.258
0.792 0.550 0.110
0.841 0.225 0.609
0.890 0.161 0.691
0.326 0.744 0.649
0.352 0.733 0.998
0.648 0.267 0.002
0.674 0.256 0.351
0.001 0.997 0.868
0.101 0.691 0.615
0.139 0.100 0.909
0.225 0.133 0.641
0.242 0.511 0.411
0.242 0.769 0.100
0.245 0.810 0.342
0.256 0.470 0.595
0.261 0.528 0.102
0.280 0.766 0.918
0.372 0.868 0.724
0.479 0.336 0.011
0.483 0.306 0.379
0.517 0.694 0.621
0.521 0.664 0.989
0.628 0.132 0.276
0.720 0.234 0.082
0.739 0.472 0.898
0.744 0.530 0.405
0.755 0.190 0.658
0.758 0.231 0.900
0.758 0.489 0.589
0.775 0.867 0.359
0.861 0.900 0.091
0.899 0.309 0.385
0.999 0.003 0.132
```